The following is a calculated PXRD pattern of Cs2BiBr6N. It was derived from a GGA-PBE-relaxed structure, using Cu Ka.
Kinematic intensities with the Lorentz-polarization factor, no thermal factor.

```
Cs2BiBr6N
1.0
-3.805 3.805 6.221
3.805 -3.805 6.221
3.805 3.805 -6.221
Cs Bi Br N
2 1 6 1
Direct
0.250 0.750 0.500
0.750 0.250 0.500
0.000 0.000 0.000
0.230 0.230 0.000
0.266 0.266 0.532
0.266 0.734 0.000
0.734 0.266 0.000
0.734 0.734 0.468
0.770 0.770 0.000
0.500 0.500 0.000
```

Top 10 peaks for 10° ≤ 2θ ≤ 90°, sorted by position:
two_theta	d_spacing	I_rel
13.64	6.492	53.9
21.84	4.070	63.8
27.17	3.282	42.6
27.48	3.246	96.5
28.70	3.111	71.3
33.30	2.690	100.0
44.53	2.035	82.1
47.81	1.902	35.2
56.72	1.623	38.7
69.88	1.346	30.0


The following is a calculated PXRD pattern of Ac8Pr3Nd2. It was derived from a GGA-PBE-relaxed structure, using Cu Ka.
Kinematic intensities with the Lorentz-polarization factor, no thermal factor.

```
Ac8Pr3Nd2
1.0
7.968 -4.954 0.000
7.968 4.954 0.000
-1.171 0.000 7.211
Ac Pr Nd
8 3 2
Direct
0.067 0.696 0.074
0.089 0.089 0.375
0.302 0.302 0.686
0.304 0.933 0.926
0.696 0.067 0.074
0.698 0.698 0.314
0.911 0.911 0.625
0.933 0.304 0.926
0.338 0.662 0.500
0.500 0.500 0.000
0.662 0.338 0.500
0.305 0.305 0.205
0.695 0.695 0.795
```

Top 10 peaks for 10° ≤ 2θ ≤ 90°, sorted by position:
two_theta	d_spacing	I_rel
21.77	4.083	28.3
23.62	3.766	32.4
28.85	3.095	83.8
29.15	3.064	100.0
29.80	2.999	87.0
29.92	2.986	23.8
30.08	2.970	37.1
30.68	2.914	83.1
32.03	2.795	36.2
54.36	1.688	29.1


The following is a calculated PXRD pattern of CeYHg4. It was derived from a GGA-PBE-relaxed structure, using Cu Ka.
Kinematic intensities with the Lorentz-polarization factor, no thermal factor.

```
CeYHg4
1.0
3.423 0.000 0.000
0.000 5.032 0.000
0.000 0.000 8.698
Ce Y Hg
1 1 4
Direct
0.000 0.000 0.000
0.000 0.500 0.500
0.500 0.000 0.336
0.500 0.000 0.664
0.500 0.500 0.170
0.500 0.500 0.830
```

Top 10 peaks for 10° ≤ 2θ ≤ 90°, sorted by position:
two_theta	d_spacing	I_rel
26.03	3.423	22.7
33.29	2.691	90.2
35.72	2.514	100.0
44.73	2.026	33.5
49.63	1.837	29.5
53.54	1.712	10.6
62.62	1.484	19.4
64.14	1.452	12.3
66.04	1.415	34.0
88.25	1.107	11.0


The following is a calculated PXRD pattern of ZrNb5C4. It was derived from a GGA-PBE-relaxed structure, using Cu Ka.
Kinematic intensities with the Lorentz-polarization factor, no thermal factor.

```
ZrNb5C4
1.0
6.938 -1.591 0.000
6.938 1.591 0.000
-1.616 0.000 6.196
Zr Nb C
1 5 4
Direct
0.000 0.000 0.000
0.000 0.000 0.500
0.331 0.331 0.674
0.335 0.335 0.153
0.665 0.665 0.847
0.669 0.669 0.326
0.171 0.171 0.090
0.495 0.495 0.737
0.505 0.505 0.263
0.829 0.829 0.910
```

Top 10 peaks for 10° ≤ 2θ ≤ 90°, sorted by position:
two_theta	d_spacing	I_rel
34.07	2.631	50.7
34.58	2.594	100.0
34.82	2.576	48.8
39.95	2.257	87.7
40.30	2.238	43.1
57.56	1.601	41.8
57.96	1.591	14.3
58.54	1.577	27.3
69.41	1.354	25.2
72.95	1.297	13.8


The following is a calculated PXRD pattern of In6Rh5. It was derived from a GGA-PBE-relaxed structure, using Cu Ka.
Kinematic intensities with the Lorentz-polarization factor, no thermal factor.

```
In6Rh5
1.0
-2.298 3.154 6.882
2.298 -3.154 6.882
2.298 3.154 -6.882
In Rh
6 5
Direct
0.080 0.337 0.744
0.239 0.000 0.239
0.407 0.663 0.744
0.593 0.337 0.256
0.761 0.000 0.761
0.920 0.663 0.256
0.171 0.171 0.000
0.337 0.837 0.500
0.500 0.500 0.000
0.663 0.163 0.500
0.829 0.829 0.000
```

Top 10 peaks for 10° ≤ 2θ ≤ 90°, sorted by position:
two_theta	d_spacing	I_rel
15.45	5.734	2.9
23.97	3.713	2.9
39.23	2.296	52.4
39.84	2.262	100.0
56.69	1.624	17.3
58.53	1.577	7.7
71.52	1.319	33.5
72.75	1.300	15.8
84.46	1.147	3.2
85.92	1.131	10.3


The following is a calculated PXRD pattern of Rb3Tl2Cl8. It was derived from a GGA-PBE-relaxed structure, using Cu Ka.
Kinematic intensities with the Lorentz-polarization factor, no thermal factor.

```
Rb3Tl2Cl8
1.0
3.859 2.228 9.320
-3.859 2.228 9.320
0.000 -4.455 9.320
Rb Tl Cl
3 2 8
Direct
0.000 0.000 0.000
0.203 0.203 0.203
0.797 0.797 0.797
0.409 0.409 0.409
0.591 0.591 0.591
0.196 0.747 0.747
0.253 0.253 0.804
0.253 0.804 0.253
0.317 0.317 0.317
0.683 0.683 0.683
0.747 0.196 0.747
0.747 0.747 0.196
0.804 0.253 0.253
```

Top 10 peaks for 10° ≤ 2θ ≤ 90°, sorted by position:
two_theta	d_spacing	I_rel
13.62	6.500	30.3
19.04	4.660	15.7
20.71	4.289	73.4
23.05	3.859	100.0
31.18	2.868	51.7
34.78	2.579	36.3
39.13	2.302	39.7
40.49	2.228	22.0
47.11	1.929	27.1
48.57	1.874	21.5


The following is a calculated PXRD pattern of Li6Pd. It was derived from a GGA-PBE-relaxed structure, using Cu Ka.
Kinematic intensities with the Lorentz-polarization factor, no thermal factor.

```
Li6Pd
1.0
2.253 1.301 6.563
-2.253 1.301 6.563
0.000 -2.602 6.563
Li Pd
6 1
Direct
0.079 0.079 0.079
0.211 0.211 0.211
0.365 0.365 0.365
0.635 0.635 0.635
0.789 0.789 0.789
0.921 0.921 0.921
0.500 0.500 0.500
```

Top 10 peaks for 10° ≤ 2θ ≤ 90°, sorted by position:
two_theta	d_spacing	I_rel
13.49	6.563	100.0
23.23	3.829	81.3
24.53	3.628	70.9
27.17	3.281	17.3
29.20	3.058	42.1
32.29	2.772	33.8
39.49	2.282	35.1
40.01	2.253	34.5
42.41	2.131	34.0
49.04	1.858	20.1


The following is a calculated PXRD pattern of In7Hg4Te. It was derived from a GGA-PBE-relaxed structure, using Cu Ka.
Kinematic intensities with the Lorentz-polarization factor, no thermal factor.

```
In7Hg4Te
1.0
4.194 0.000 0.000
-2.097 3.632 0.000
0.000 0.000 22.925
In Hg Te
7 4 1
Direct
0.000 0.000 0.000
0.000 0.000 0.250
0.000 0.000 0.750
0.333 0.667 0.164
0.333 0.667 0.415
0.667 0.333 0.585
0.667 0.333 0.836
0.333 0.667 0.669
0.333 0.667 0.917
0.667 0.333 0.083
0.667 0.333 0.331
0.000 0.000 0.500
```

Top 10 peaks for 10° ≤ 2θ ≤ 90°, sorted by position:
two_theta	d_spacing	I_rel
29.11	3.068	100.0
40.08	2.250	42.1
43.14	2.097	34.2
47.61	1.910	9.7
52.89	1.731	18.9
60.35	1.534	12.5
66.17	1.412	18.6
70.55	1.335	15.9
70.68	1.333	7.6
77.03	1.238	12.4


The following is a calculated PXRD pattern of TbDyHo2Sb4. It was derived from a GGA-PBE-relaxed structure, using Cu Ka.
Kinematic intensities with the Lorentz-polarization factor, no thermal factor.

```
TbDyHo2Sb4
1.0
7.585 0.000 0.000
0.000 4.382 0.000
-2.529 0.000 7.152
Tb Dy Ho Sb
1 1 2 4
Direct
0.000 0.000 0.000
0.000 0.500 0.500
0.500 0.000 0.500
0.500 0.500 0.000
0.252 0.000 0.750
0.252 0.500 0.251
0.748 0.000 0.250
0.748 0.500 0.749
```

Top 10 peaks for 10° ≤ 2θ ≤ 90°, sorted by position:
two_theta	d_spacing	I_rel
24.90	3.576	3.7
28.83	3.097	100.0
41.22	2.190	76.1
48.76	1.868	2.0
51.08	1.788	27.2
59.71	1.549	12.7
65.70	1.421	0.9
67.64	1.385	34.8
75.13	1.264	25.8
89.50	1.095	8.6


The following is a calculated PXRD pattern of Ce3Pu4S8. It was derived from a GGA-PBE-relaxed structure, using Cu Ka.
Kinematic intensities with the Lorentz-polarization factor, no thermal factor.

```
Ce3Pu4S8
1.0
5.640 -5.635 0.000
5.640 5.635 0.000
-5.639 0.000 5.640
Ce Pu S
3 4 8
Direct
0.000 0.000 0.000
0.000 0.500 0.000
0.500 0.000 0.000
0.000 0.000 0.500
0.000 0.500 0.500
0.500 0.000 0.500
0.500 0.500 0.000
0.247 0.753 0.500
0.248 0.248 0.501
0.249 0.249 0.996
0.252 0.748 0.000
0.748 0.252 0.000
0.751 0.751 0.004
0.752 0.752 0.499
0.753 0.247 0.500
```

Top 10 peaks for 10° ≤ 2θ ≤ 90°, sorted by position:
two_theta	d_spacing	I_rel
13.60	6.510	23.9
26.21	3.400	15.3
27.40	3.255	85.2
31.74	2.819	100.0
45.50	1.993	73.4
53.93	1.700	43.2
56.54	1.628	25.7
73.17	1.294	17.8
75.39	1.261	33.3
84.11	1.151	25.6


The following is a calculated PXRD pattern of MgSb2Cl8. It was derived from a GGA-PBE-relaxed structure, using Cu Ka.
Kinematic intensities with the Lorentz-polarization factor, no thermal factor.

```
MgSb2Cl8
1.0
8.416 -4.318 0.000
8.416 4.318 0.000
-7.874 0.000 10.259
Mg Sb Cl
2 4 16
Direct
0.036 0.964 0.750
0.964 0.036 0.250
0.251 0.743 0.490
0.257 0.749 0.010
0.743 0.251 0.990
0.749 0.257 0.510
0.056 0.161 0.502
0.058 0.721 0.237
0.148 0.654 0.760
0.161 0.056 0.002
0.279 0.942 0.263
0.326 0.429 0.451
0.346 0.852 0.740
0.429 0.326 0.951
0.571 0.674 0.049
0.654 0.148 0.260
0.674 0.571 0.549
0.721 0.058 0.737
0.839 0.944 0.998
0.852 0.346 0.240
0.942 0.279 0.763
0.944 0.839 0.498
```

Top 10 peaks for 10° ≤ 2θ ≤ 90°, sorted by position:
two_theta	d_spacing	I_rel
13.26	6.676	100.0
13.97	6.339	46.3
17.29	5.129	20.6
20.57	4.318	15.3
24.55	3.625	24.5
28.70	3.111	23.1
29.67	3.011	57.6
34.99	2.565	21.2
38.94	2.313	22.6
45.59	1.990	19.9


The following is a calculated PXRD pattern of VZnNi14. It was derived from a GGA-PBE-relaxed structure, using Cu Ka.
Kinematic intensities with the Lorentz-polarization factor, no thermal factor.

```
VZnNi14
1.0
5.021 0.000 0.000
0.000 5.021 0.000
0.000 0.000 7.044
V Zn Ni
1 1 14
Direct
0.000 0.000 0.000
0.500 0.500 0.000
0.000 0.000 0.500
0.000 0.500 0.000
0.000 0.500 0.500
0.248 0.248 0.252
0.248 0.248 0.748
0.248 0.752 0.252
0.248 0.752 0.748
0.500 0.000 0.000
0.500 0.000 0.500
0.500 0.500 0.500
0.752 0.248 0.252
0.752 0.248 0.748
0.752 0.752 0.252
0.752 0.752 0.748
```

Top 5 peaks for 10° ≤ 2θ ≤ 90°, sorted by position:
two_theta	d_spacing	I_rel
44.31	2.044	100.0
51.47	1.775	31.2
51.92	1.761	15.2
75.77	1.255	9.0
76.14	1.250	17.7